(1)
Diffraction record for SrLa7ZnCu3O16. The X-ray diffraction stick pattern is computed, not measured: it uses a crystal structure in the Materials Project, relaxed with GGA-PBE and copper Kα.
Lines closer than 0.1° are merged.

Top 10 peaks for 10 to 90 degrees two-theta, low angle first:
d 3.688, I = 37, hkl 1 1 -1; d 2.889, I = 96, hkl 1 1 3; d 2.872, I = 100, hkl -1 1 3; d 2.732, I = 63, hkl 2 0 0; d 2.703, I = 64, hkl 0 1 -3; d 2.176, I = 22, hkl 0 3 3; d 2.166, I = 23, hkl 1 3 1; d 2.084, I = 23, hkl 0 3 -1; d 1.921, I = 63, hkl 2 -1 3; d 1.695, I = 23, hkl -2 3 3

Unit cell a=5.464 b=7.066 c=10.408 alpha=73.65 beta=89.72 gamma=89.53
Fractional positions:
Sr 0.000 0.000 0.000
La 0.005 0.915 0.643
La 0.006 0.416 0.137
La 0.482 0.668 0.892
La 0.484 0.170 0.390
La 0.516 0.246 0.755
La 0.516 0.756 0.245
La 0.992 0.499 0.499
Zn 0.499 0.704 0.568
Cu 0.000 0.459 0.822
Cu 0.500 0.204 0.069
Cu 0.999 0.962 0.319
O 0.044 0.728 0.906
O 0.048 0.239 0.415
O 0.244 0.564 0.693
O 0.248 0.081 0.198
O 0.249 0.831 0.435
O 0.254 0.332 0.938
O 0.463 0.484 0.158
O 0.465 0.976 0.661
O 0.517 0.938 0.984
O 0.530 0.444 0.480
O 0.747 0.095 0.205
O 0.748 0.585 0.704
O 0.751 0.347 0.947
O 0.755 0.852 0.446
O 0.947 0.666 0.236
O 0.949 0.183 0.718

=====

(2)
Diffraction record for Sm3MgBiRu4O14. The X-ray diffraction stick pattern is computed, not measured: it uses a crystal structure in the Materials Project, relaxed with GGA-PBE and copper Kα.
Lines closer than 0.1° are merged.

Top 10 peaks for 10 to 90 degrees two-theta, low angle first:
d 3.056, I = 100, hkl 0 0 2; d 3.044, I = 50, hkl 2 0 0; d 3.024, I = 48, hkl 2 2 2; d 2.637, I = 72, hkl 0 2 2; d 1.875, I = 17, hkl 0 2 -2; d 1.869, I = 33, hkl 2 0 -2; d 1.859, I = 31, hkl 2 2 4; d 1.592, I = 20, hkl 2 4 0; d 1.589, I = 20, hkl 0 2 4; d 1.583, I = 18, hkl 4 2 4

Unit cell a=7.420 b=7.438 c=7.438 alpha=60.56 beta=60.39 gamma=60.43
Fractional positions:
Sm 0.000 0.000 0.000
Sm 0.001 0.469 0.528
Sm 0.027 0.488 0.014
Mg 0.291 0.747 0.277
Bi 0.535 0.468 0.000
Ru 0.009 0.998 0.526
Ru 0.528 0.997 0.526
Ru 0.535 0.476 0.526
Ru 0.535 0.996 0.005
O 0.155 0.635 0.163
O 0.183 0.080 0.609
O 0.184 0.650 0.602
O 0.185 0.071 0.178
O 0.439 0.323 0.853
O 0.449 0.320 0.442
O 0.453 0.917 0.844
O 0.609 0.080 0.182
O 0.609 0.654 0.607
O 0.615 0.655 0.183
O 0.850 0.915 0.445
O 0.861 0.323 0.427
O 0.862 0.899 0.853
O 0.905 0.365 0.893